Diffraction record for Ga3Re3Ni2. The powder diffractogram is theoretical, not measured: it uses a structure optimized by DFT (GGA-PBE) and λ = 1.5418 Å (Cu Kα).
Kinematic intensities with the Lorentz-polarization factor, no thermal factor.

Largest 6 diffraction maxima, low angle first, 5° ≤ 2θ ≤ 70°:
2θ/deg  intensity  h k l
19.4  27.8  0 0 2
38.5  25.6  0 2 2
41.0  40.7  2 0 0
43.8  100.0  1 2 2
44.6  47.8  1 0 4
57.4  15.7  2 2 2

Structural model:
Unit cell a=4.407 b=5.447 c=9.154 alpha=90.00 beta=90.00 gamma=90.00
Space group Amm2 (No. 38)
Symmetry-distinct sites (fractional):
1 Ga 0.000 0.000 0.000 x2
2 Ga 0.500 0.235 0.586 x4
3 Re 0.000 0.249 0.753 x4
4 Re 0.500 0.000 0.332 x2
5 Ni 0.000 0.000 0.503 x2
6 Ni 0.500 0.000 0.851 x2